1.
Simulated X-ray powder pattern
Compound: RbInNiBr6
Radiation: Cu Kα
Structure: a cell relaxed with GGA-PBE

Top 12 peaks for 2θ from 5° to 70°, by angle:
index  2θ (°)  intensity
0 0 1  11.3  67.0
1 0 1  18.8  73.7
2 -1 1  28.4  91.4
2 -1 2  34.8  100.0
3 -1 1  41.8  26.2
1 1 3  43.7  24.7
3 0 0  45.7  38.5
2 0 3  46.4  15.1
1 1 4  54.1  21.8
2 2 1  54.7  9.5
3 1 1  57.0  15.2
2 2 2  58.7  16.7

```
data_RbInNiBr6
_chemical_formula_sum 'Rb1 In1 Ni1 Br6'
_cell_length_a 6.8721
_cell_length_b 6.8721
_cell_length_c 7.8016
_cell_angle_alpha 90.00
_cell_angle_beta 90.00
_cell_angle_gamma 120.00
_symmetry_space_group_name_H-M 'P 3 1 2'
_symmetry_Int_Tables_number 149
loop_
_symmetry_equiv_pos_as_xyz
'x,y,z'
'-y,x-y,z'
'-x+y,-x,z'
'-y,-x,-z'
'-x+y,y,-z'
'x,x-y,-z'
loop_
_atom_site_label
_atom_site_fract_x
_atom_site_fract_y
_atom_site_fract_z
Rb1 0.0000 0.0000 0.0000
In1 0.6667 0.3333 0.5000
Ni1 0.3333 0.6667 0.5000
Br1 0.0172 0.3793 0.6931
```

---

2.
Simulated X-ray powder pattern
Compound: NiW
Radiation: Cu Kα
Structure: a cell relaxed with GGA-PBE

Top 12 peaks for 2θ from 5° to 70°, by angle:
index  2θ (°)  intensity
0 0 1  11.7  26.5
0 0 2  23.6  4.4
1 1 1  35.5  30.3
0 0 3  35.7  13.2
1 1 2  41.3  100.0
0 2 0  47.8  17.9
2 0 0  48.0  17.7
0 0 4  48.3  11.9
0 2 1  49.4  1.7
1 1 4  60.0  5.1
0 2 3  61.1  5.9
2 0 3  61.2  5.8

```
data_NiW
_chemical_formula_sum 'Ni4 W4'
_cell_length_a 3.794
_cell_length_b 3.804
_cell_length_c 7.537
_cell_angle_alpha 90.00
_cell_angle_beta 90.00
_cell_angle_gamma 90.00
_symmetry_space_group_name_H-M 'C m m e'
_symmetry_Int_Tables_number 67
_symmetry_space_group_name_Hall '-C 2a 2'
loop_
_atom_site_label
_atom_site_fract_x
_atom_site_fract_y
_atom_site_fract_z
Ni1 0.000 0.250 0.112
W1 0.000 0.250 0.651
```

---

3.
Simulated X-ray powder pattern
Compound: Ag4SbAu7
Radiation: Cu Kα
Structure: a cell relaxed with GGA-PBE

Top 12 peaks for 2θ from 5° to 70°, by angle:
index  2θ (°)  intensity
0 0 2  19.6  33.3
1 1 1  24.0  17.1
0 2 0  34.7  97.4
2 0 -4  35.0  17.4
4 0 -1  35.4  84.6
1 1 3  39.6  100.0
3 1 -4  40.8  94.7
4 2 -1  50.4  62.0
2 0 -7  65.2  15.8
1 3 3  65.5  41.0
3 3 -4  66.3  22.9
7 1 -5  68.0  17.2

```
data_Ag4SbAu7
_chemical_formula_sum 'Ag8 Sb2 Au14'
_cell_length_a 10.427
_cell_length_b 5.168
_cell_length_c 10.239
_cell_angle_alpha 90.00
_cell_angle_beta 117.96
_cell_angle_gamma 90.00
_symmetry_space_group_name_H-M 'C 1 2/m 1'
_symmetry_Int_Tables_number 12
loop_
_symmetry_equiv_pos_as_xyz
'x,y,z'
'-x,-y,-z'
'-x,y,-z'
'x,-y,z'
'x+1/2,y+1/2,z'
'-x+1/2,-y+1/2,-z'
'-x+1/2,y+1/2,-z'
'x+1/2,-y+1/2,z'
loop_
_atom_site_label
_atom_site_fract_x
_atom_site_fract_y
_atom_site_fract_z
Ag1 0.085 0.000 0.312
Ag2 0.169 0.500 0.771
Sb1 0.000 0.500 0.000
Au1 0.000 0.000 0.000
Au2 0.119 0.500 0.468
Au3 0.158 0.000 0.616
Au4 0.210 0.000 0.909
```

---

4.
Simulated X-ray powder pattern
Compound: TbB12
Radiation: Cu Kα
Structure: a cell relaxed with GGA-PBE

Top 10 peaks for 2θ from 5° to 70°, by angle:
index  2θ (°)  intensity
1 1 1  20.5  93.4
2 0 0  23.7  72.5
2 2 0  33.8  42.3
3 1 1  39.8  100.0
2 2 2  41.7  30.0
4 0 0  48.5  11.3
3 3 1  53.2  33.0
4 2 0  54.7  23.4
4 2 2  60.4  28.6
5 1 1  64.5  15.7

```
data_TbB12
_chemical_formula_sum 'Tb4 B48'
_cell_length_a 7.508
_cell_length_b 7.508
_cell_length_c 7.508
_cell_angle_alpha 90.00
_cell_angle_beta 90.00
_cell_angle_gamma 90.00
_symmetry_space_group_name_H-M 'F m -3 m'
_symmetry_Int_Tables_number 225
_symmetry_space_group_name_Hall '-F 4 2 3'
loop_
_atom_site_label
_atom_site_fract_x
_atom_site_fract_y
_atom_site_fract_z
Tb1 0.000 0.000 0.000
B1 0.000 0.169 0.331
```

---

5.
Simulated X-ray powder pattern
Compound: Ac8NdSn5
Radiation: Cu Kα
Structure: a cell relaxed with GGA-PBE

Top 12 peaks for 2θ from 5° to 70°, by angle:
index  2θ (°)  intensity
1 2 1  21.3  12.3
2 0 2  24.6  8.4
3 0 1  27.6  100.0
3 2 1  32.7  74.1
2 4 2  43.3  23.2
3 4 1  45.2  19.9
3 1 4  45.2  10.8
1 6 1  55.3  18.9
1 1 6  55.5  8.3
6 2 0  56.8  10.7
4 5 1  58.4  10.6
6 3 3  67.2  8.0

```
data_Ac8NdSn5
_chemical_formula_sum 'Ac16 Nd2 Sn10'
_cell_length_a 10.246
_cell_length_b 10.246
_cell_length_c 10.208
_cell_angle_alpha 90.00
_cell_angle_beta 90.00
_cell_angle_gamma 90.00
_symmetry_space_group_name_H-M 'I -4'
_symmetry_Int_Tables_number 82
loop_
_symmetry_equiv_pos_as_xyz
'x,y,z'
'y,-x,-z'
'-x,-y,z'
'-y,x,-z'
'x+1/2,y+1/2,z+1/2'
'y+1/2,-x+1/2,-z+1/2'
'-x+1/2,-y+1/2,z+1/2'
'-y+1/2,x+1/2,-z+1/2'
loop_
_atom_site_label
_atom_site_fract_x
_atom_site_fract_y
_atom_site_fract_z
Ac1 0.073 0.335 0.448
Ac2 0.077 0.186 0.813
Nd1 0.000 0.000 0.500
Sn1 0.000 0.500 0.750
Sn2 0.130 0.248 0.132
```

---

6.
Simulated X-ray powder pattern
Compound: Sm4Pd12Au
Radiation: Cu Kα
Structure: a cell relaxed with GGA-PBE

Top 12 peaks for 2θ from 5° to 70°, by angle:
index  2θ (°)  intensity
2 2 0  29.3  22.6
3 1 0  32.8  15.5
2 2 2  36.1  100.0
3 2 1  39.1  25.8
4 0 0  41.9  75.6
3 3 0  44.6  12.0
3 3 2  49.6  19.0
4 2 2  51.9  3.8
4 4 0  60.7  41.4
4 3 3  62.8  4.6
6 1 1  66.9  4.8
6 2 0  68.8  10.1

```
data_Sm4Pd12Au
_chemical_formula_sum 'Sm8 Pd24 Au2'
_cell_length_a 8.625
_cell_length_b 8.625
_cell_length_c 8.625
_cell_angle_alpha 90.00
_cell_angle_beta 90.00
_cell_angle_gamma 90.00
_symmetry_space_group_name_H-M 'I m -3 m'
_symmetry_Int_Tables_number 229
_symmetry_space_group_name_Hall '-I 4 2 3'
loop_
_atom_site_label
_atom_site_fract_x
_atom_site_fract_y
_atom_site_fract_z
Sm1 0.250 0.250 0.250
Pd1 0.000 0.000 0.304
Pd2 0.000 0.250 0.500
Au1 0.000 0.000 0.000
```